This entry pairs a crystal structure of K3PdSe2O8 with its computed X-ray powder pattern. Radiation: CuKα. Structure: the PBE geometry in Alexandria.

Structure:
a b c (Å): 5.924 5.924 7.677
angles (deg): 90.00 90.00 120.00
Positions (direct):
K  0.000  0.000  0.000
K  0.333  0.667  0.668
K  0.667  0.333  0.332
Pd  0.000  0.000  0.500
Se  0.333  0.667  0.225
Se  0.667  0.333  0.775
O  0.178  0.356  0.303
O  0.178  0.822  0.303
O  0.333  0.667  0.009
O  0.356  0.178  0.697
O  0.644  0.822  0.303
O  0.667  0.333  0.991
O  0.822  0.178  0.697
O  0.822  0.644  0.697

Most intense lines, 2θ from 10° to 90°, by angle:
2θ 20.8, rel. 60
2θ 29.1, rel. 81
2θ 30.2, rel. 100
2θ 42.4, rel. 47
2θ 52.9, rel. 26
2θ 53.6, rel. 18